Calculated XRD peak list of Ho4TeC2 for λ = 1.5418 Å (Cu Kα), from the PBE geometry in Alexandria.
Kinematic intensities with the Lorentz-polarization factor, no thermal factor.

Cell and atoms:
```
Ho4TeC2
1.0
1.8548 1.0708 13.2837
-1.8548 1.0708 13.2837
0.0000 -2.1417 13.2837
Ho Te C
4 1 2
Cartesian
0.0000 0.0000 4.8393 Ho
0.0000 0.0000 11.0730 Ho
0.0000 0.0000 28.7780 Ho
0.0000 0.0000 35.0117 Ho
0.0000 0.0000 0.0000 Te
0.0000 0.0000 16.8637 C
0.0000 0.0000 22.9873 C
```

Main lines, in order of rising 2θ (2θ from 10° to 80°):
2θ (°)  d_spacing  intensity
27.86  3.202  28
29.99  2.980  38
31.99  2.798  100
33.18  2.700  51
40.71  2.216  37
49.12  1.855  46